La4OsAu2: calculated powder XRD pattern (Cu Kα, 1.54184 Å), based on a cell relaxed with PBE.
No peak broadening, texture or thermal motion is included.

The 8 most intense peaks (2θ from 10° to 90°), sorted by position:
- 16.6 deg, d 5.349, rel. 51, (2 0 -1)
- 27.9 deg, d 3.195, rel. 56, (3 1 -1)
- 29.8 deg, d 3.001, rel. 27, (0 0 2)
- 33.1 deg, d 2.707, rel. 100, (3 1 1)
- 36.2 deg, d 2.484, rel. 62, (3 1 -2)
- 37.0 deg, d 2.429, rel. 68, (6 0 -1)
- 37.4 deg, d 2.402, rel. 38, (1 1 2)
- 37.9 deg, d 2.372, rel. 57, (0 2 0)

Structural model:
Unit cell a=14.6923 b=4.7447 c=6.2370 alpha=90.00 beta=105.78 gamma=90.00
Space group C2/m (No. 12)
Inequivalent atoms, fractional coordinates:
1 La 0.0848 0.0000 0.2673 [4 per cell]
2 La 0.1465 0.5000 0.7945 [4 per cell]
3 Os 0.0000 0.5000 0.0000 [2 per cell]
4 Au 0.2311 0.5000 0.3217 [4 per cell]